Entry 1:
Simulated XRD peak list
Compound: CaV3P3O13
Radiation: Cu Kα (λ = 1.5418 Å)
Structure: a crystal structure in the Materials Project, relaxed with GGA+U
Intensities are scaled so that the largest is 100.

Main lines, by angle (2θ = 10–90°):
2theta  Rel. int.
19.06  94
22.48  55
23.63  100
27.94  91
29.45  51
30.32  70
36.91  44
38.45  45

Atomic structure:
```
CaV3P3O13
1.0
7.656 0.000 0.000
0.000 6.386 0.000
-1.822 0.000 10.337
Ca V P O
2 6 6 26
direct
0.155 0.250 0.194 Ca
0.845 0.750 0.806 Ca
0.142 0.250 0.801 V
0.279 0.750 0.438 V
0.500 0.000 0.000 V
0.500 0.500 0.000 V
0.721 0.250 0.562 V
0.858 0.750 0.199 V
0.183 0.750 0.112 P
0.239 0.750 0.763 P
0.285 0.250 0.513 P
0.715 0.750 0.487 P
0.761 0.250 0.237 P
0.817 0.250 0.888 P
0.007 0.250 0.967 O
0.119 0.562 0.787 O
0.119 0.938 0.787 O
0.141 0.750 0.253 O
0.158 0.250 0.610 O
0.250 0.060 0.417 O
0.250 0.440 0.417 O
0.288 0.548 0.095 O
0.288 0.952 0.095 O
0.290 0.750 0.630 O
0.378 0.250 0.910 O
0.411 0.750 0.869 O
0.479 0.250 0.587 O
0.521 0.750 0.413 O
0.589 0.250 0.131 O
0.622 0.750 0.090 O
0.710 0.250 0.370 O
0.712 0.048 0.905 O
0.712 0.452 0.905 O
0.750 0.560 0.583 O
0.750 0.940 0.583 O
0.842 0.750 0.390 O
0.859 0.250 0.747 O
0.881 0.062 0.213 O
0.881 0.438 0.213 O
0.993 0.750 0.033 O
```

Entry 2:
Simulated XRD peak list
Compound: CrSiO5
Radiation: Cu Kα (λ = 1.5418 Å)
Structure: a crystal structure in the Materials Project, relaxed with GGA+U
Intensities are scaled so that the largest is 100.

Main lines, by angle (2θ = 10–90°):
2theta  Rel. int.
17.88  39
18.95  77
24.36  100
26.44  23
26.72  17
30.18  29
34.31  15
34.43  14

Atomic structure:
```
CrSiO5
1.0
5.160 0.000 0.000
-0.504 5.139 0.000
-1.718 -1.933 7.139
Cr Si O
2 2 10
direct
0.000 0.000 0.000 Cr
0.447 0.552 0.500 Cr
0.452 0.141 0.790 Si
0.587 0.002 0.290 Si
0.179 0.470 0.337 O
0.261 0.194 0.937 O
0.269 0.923 0.173 O
0.372 0.824 0.672 O
0.391 0.336 0.651 O
0.642 0.810 0.435 O
0.659 0.321 0.410 O
0.771 0.213 0.910 O
0.780 0.942 0.148 O
0.918 0.732 0.835 O
```

Entry 3:
Simulated XRD peak list
Compound: Na3MnO3
Radiation: Cu Kα (λ = 1.5418 Å)
Structure: a crystal structure in the Materials Project, relaxed with GGA+U
Intensities are scaled so that the largest is 100.

Main lines, by angle (2θ = 10–90°):
2theta  Rel. int.
16.29  38
21.96  19
22.59  100
32.92  21
33.79  38
33.93  28
41.22  45
47.07  39

Atomic structure:
```
Na3MnO3
1.0
6.078 0.000 0.000
0.000 10.883 0.000
-0.184 0.000 6.045
Na Mn O
12 4 12
direct
0.006 0.222 0.483 Na
0.006 0.278 0.983 Na
0.146 0.503 0.642 Na
0.146 0.997 0.142 Na
0.454 0.224 0.092 Na
0.454 0.276 0.592 Na
0.546 0.724 0.408 Na
0.546 0.776 0.908 Na
0.854 0.003 0.858 Na
0.854 0.497 0.358 Na
0.994 0.722 0.017 Na
0.994 0.778 0.517 Na
0.335 0.503 0.168 Mn
0.335 0.997 0.668 Mn
0.665 0.003 0.332 Mn
0.665 0.497 0.832 Mn
0.195 0.127 0.808 O
0.195 0.373 0.308 O
0.200 0.632 0.319 O
0.200 0.868 0.819 O
0.389 0.088 0.394 O
0.389 0.412 0.894 O
0.611 0.588 0.106 O
0.611 0.912 0.606 O
0.800 0.132 0.181 O
0.800 0.368 0.681 O
0.805 0.627 0.692 O
0.805 0.873 0.192 O
```

Entry 4:
Simulated XRD peak list
Compound: Fe3CuNi2P6O24
Radiation: Cu Kα (λ = 1.5418 Å)
Structure: a crystal structure in the Materials Project, relaxed with GGA+U
Intensities are scaled so that the largest is 100.

Main lines, by angle (2θ = 10–90°):
2theta  Rel. int.
20.64  100
24.41  99
33.37  79
36.16  46
47.83  35
50.02  31
56.60  27
63.26  24

Atomic structure:
```
Fe3CuNi2P6O24
1.0
4.302 2.484 6.874
-4.302 2.484 6.874
0.000 -4.968 6.874
Fe Cu Ni P O
3 1 2 6 24
direct
0.000 0.000 0.000 Fe
0.212 0.212 0.212 Fe
0.500 0.500 0.500 Fe
0.712 0.712 0.712 Cu
0.356 0.356 0.356 Ni
0.856 0.856 0.856 Ni
0.105 0.809 0.402 P
0.312 0.607 0.901 P
0.402 0.105 0.809 P
0.607 0.901 0.312 P
0.809 0.402 0.105 P
0.901 0.312 0.607 P
0.038 0.850 0.245 O
0.102 0.293 0.448 O
0.112 0.765 0.916 O
0.173 0.965 0.362 O
0.245 0.038 0.850 O
0.263 0.610 0.418 O
0.293 0.448 0.102 O
0.354 0.539 0.744 O
0.362 0.173 0.965 O
0.418 0.263 0.610 O
0.448 0.102 0.293 O
0.468 0.670 0.873 O
0.539 0.744 0.354 O
0.601 0.945 0.800 O
0.610 0.418 0.263 O
0.670 0.873 0.468 O
0.744 0.354 0.539 O
0.765 0.916 0.112 O
0.800 0.601 0.945 O
0.850 0.245 0.038 O
0.873 0.468 0.670 O
0.916 0.112 0.765 O
0.945 0.800 0.601 O
0.965 0.362 0.173 O
```

Entry 5:
Simulated XRD peak list
Compound: AlMo3Se2ClO8
Radiation: Cu Kα (λ = 1.5418 Å)
Structure: a crystal structure in the Materials Project, relaxed with GGA+U
Intensities are scaled so that the largest is 100.

Main lines, by angle (2θ = 10–90°):
2theta  Rel. int.
27.56  50
28.06  61
30.27  100
30.38  48
31.11  58
32.08  44
34.41  49
35.90  57

Atomic structure:
```
AlMo3Se2ClO8
1.0
6.564 0.000 0.000
-0.511 7.201 0.000
-0.509 -2.669 9.531
Al Mo Se Cl O
2 6 4 2 16
direct
0.000 0.000 0.000 Al
0.482 0.453 0.488 Al
0.488 0.997 0.994 Mo
0.740 0.227 0.746 Mo
0.744 0.734 0.249 Mo
0.745 0.234 0.243 Mo
0.746 0.725 0.744 Mo
0.997 0.450 0.496 Mo
0.166 0.560 0.892 Se
0.187 0.471 0.172 Se
0.300 0.994 0.317 Se
0.313 0.889 0.611 Se
0.621 0.462 0.998 Cl
0.863 0.993 0.494 Cl
0.033 0.346 0.797 O
0.043 0.665 0.215 O
0.220 0.037 0.907 O
0.235 0.459 0.349 O
0.248 0.994 0.141 O
0.262 0.408 0.580 O
0.444 0.800 0.287 O
0.447 0.107 0.686 O
0.499 0.186 0.368 O
0.513 0.726 0.584 O
0.705 0.514 0.369 O
0.716 0.428 0.615 O
0.766 0.022 0.873 O
0.781 0.950 0.125 O
0.967 0.725 0.912 O
0.993 0.276 0.117 O
```

Entry 6:
Simulated XRD peak list
Compound: Na2NiPCO7
Radiation: Cu Kα (λ = 1.5418 Å)
Structure: a crystal structure in the Materials Project, relaxed with GGA+U
Intensities are scaled so that the largest is 100.

Main lines, by angle (2θ = 10–90°):
2theta  Rel. int.
16.64  42
16.77  43
20.24  42
25.99  59
26.89  100
33.47  48
34.74  66
42.07  42

Atomic structure:
```
Na2NiPCO7
1.0
6.631 0.000 0.000
-0.070 8.865 0.000
-0.057 -0.399 10.329
Na Ni P C O
8 4 4 4 28
direct
0.000 0.000 0.000 Na
0.009 0.013 0.496 Na
0.028 0.527 0.743 Na
0.044 0.523 0.261 Na
0.280 0.352 0.989 Na
0.503 0.528 0.739 Na
0.526 0.015 0.498 Na
0.535 0.999 0.999 Na
0.266 0.918 0.765 Ni
0.268 0.914 0.264 Ni
0.761 0.611 0.480 Ni
0.763 0.610 0.986 Ni
0.265 0.686 0.015 P
0.266 0.686 0.517 P
0.766 0.842 0.734 P
0.767 0.839 0.237 P
0.265 0.189 0.230 C
0.267 0.196 0.736 C
0.768 0.337 0.018 C
0.769 0.338 0.515 C
0.079 0.589 0.482 O
0.081 0.583 0.979 O
0.254 0.327 0.214 O
0.259 0.723 0.163 O
0.261 0.723 0.667 O
0.264 0.836 0.946 O
0.265 0.338 0.732 O
0.267 0.103 0.637 O
0.269 0.128 0.342 O
0.269 0.133 0.849 O
0.269 0.837 0.447 O
0.271 0.090 0.133 O
0.450 0.589 0.977 O
0.453 0.588 0.491 O
0.580 0.938 0.770 O
0.581 0.935 0.272 O
0.759 0.397 0.905 O
0.766 0.440 0.610 O
0.766 0.803 0.087 O
0.766 0.806 0.584 O
0.767 0.691 0.804 O
0.769 0.396 0.403 O
0.770 0.196 0.030 O
0.771 0.199 0.533 O
0.774 0.689 0.306 O
0.775 0.435 0.113 O
0.953 0.940 0.770 O
0.954 0.940 0.269 O
```